The following is a simulated powder X-ray diffraction pattern of CeSbS2Br2. It was derived from a structure optimized by DFT (GGA-PBE), using copper Kα.
Kinematic intensities with the Lorentz-polarization factor, no thermal factor.

The 10 most intense peaks (2θ = 15–90°), sorted by position:
- 19.72°, I = 25
- 20.38°, I = 22
- 24.36°, I = 21
- 24.83°, I = 43
- 27.29°, I = 41
- 29.93°, I = 100
- 30.50°, I = 28
- 35.59°, I = 38
- 40.63°, I = 23
- 41.72°, I = 44

Structural model:
a b c (Å): 8.6626 9.3107 18.1945
angles (deg): 90.00 103.58 90.00
Positions (direct):
Ce: 0.1138 0.1354 0.2373
Ce: 0.1138 0.3646 0.7373
Ce: 0.3782 0.6307 0.2558
Ce: 0.3782 0.8693 0.7558
Ce: 0.6218 0.1307 0.2442
Ce: 0.6218 0.3693 0.7442
Ce: 0.8862 0.6354 0.2627
Ce: 0.8862 0.8646 0.7627
Sb: 0.2213 0.6576 0.9370
Sb: 0.2213 0.8424 0.4370
Sb: 0.2263 0.0410 0.9463
Sb: 0.2263 0.4590 0.4463
Sb: 0.7737 0.5410 0.5537
Sb: 0.7737 0.9590 0.0537
Sb: 0.7787 0.1576 0.5630
Sb: 0.7787 0.3424 0.0630
S: 0.0165 0.6517 0.4397
S: 0.0165 0.8483 0.9397
S: 0.1587 0.6659 0.7996
S: 0.1587 0.8341 0.2996
S: 0.1615 0.0619 0.8084
S: 0.1615 0.4381 0.3084
S: 0.4279 0.6512 0.4423
S: 0.4279 0.8488 0.9423
S: 0.5721 0.1512 0.0577
S: 0.5721 0.3488 0.5577
S: 0.8385 0.5619 0.6916
S: 0.8385 0.9381 0.1916
S: 0.8413 0.1659 0.7004
S: 0.8413 0.3341 0.2004
S: 0.9835 0.1517 0.0603
S: 0.9835 0.3483 0.5603
Br: 0.0572 0.6273 0.1331
Br: 0.0572 0.8727 0.6331
Br: 0.3391 0.5562 0.6636
Br: 0.3391 0.9438 0.1636
Br: 0.3438 0.1738 0.6714
Br: 0.3438 0.3262 0.1714
Br: 0.4194 0.1288 0.3622
Br: 0.4194 0.3712 0.8622
Br: 0.5806 0.6288 0.1378
Br: 0.5806 0.8712 0.6378
Br: 0.6562 0.6738 0.8286
Br: 0.6562 0.8262 0.3286
Br: 0.6609 0.0562 0.8364
Br: 0.6609 0.4438 0.3364
Br: 0.9428 0.1273 0.3669
Br: 0.9428 0.3727 0.8669

---

The following is a simulated powder X-ray diffraction pattern of Ce3Si2S8Br. It was derived from a structure optimized by DFT (GGA-PBE), using copper Kα.
Kinematic intensities with the Lorentz-polarization factor, no thermal factor.

The 10 most intense peaks (2θ = 15–90°), sorted by position:
- 16.19°, I = 100
- 22.72°, I = 61
- 24.31°, I = 69
- 26.38°, I = 55
- 32.79°, I = 75
- 33.54°, I = 43
- 33.69°, I = 38
- 34.60°, I = 51
- 37.83°, I = 43
- 39.28°, I = 41

Structural model:
a b c (Å): 8.8094 8.8094 11.0257
angles (deg): 95.93 95.93 52.34
Positions (direct):
Ce: 0.1048 0.8952 0.7500
Ce: 0.1810 0.4262 0.3144
Ce: 0.4262 0.1810 0.8144
Ce: 0.5738 0.8190 0.1856
Ce: 0.8190 0.5738 0.6856
Ce: 0.8952 0.1048 0.2500
Si: 0.1268 0.1948 0.0322
Si: 0.1948 0.1268 0.5322
Si: 0.8052 0.8732 0.4678
Si: 0.8732 0.8052 0.9678
S: 0.0551 0.2427 0.8428
S: 0.0875 0.7787 0.4457
S: 0.1023 0.6058 0.8531
S: 0.2134 0.3555 0.5845
S: 0.2213 0.9125 0.0543
S: 0.2427 0.0551 0.3428
S: 0.3555 0.2134 0.0845
S: 0.3942 0.8977 0.6469
S: 0.6058 0.1023 0.3531
S: 0.6445 0.7866 0.9155
S: 0.7573 0.9449 0.6572
S: 0.7787 0.0875 0.9457
S: 0.7866 0.6445 0.4155
S: 0.8977 0.3942 0.1469
S: 0.9125 0.2213 0.5543
S: 0.9449 0.7573 0.1572
Br: 0.4969 0.5031 0.2500
Br: 0.5031 0.4969 0.7500

---

The following is a simulated powder X-ray diffraction pattern of CeSe2Br8. It was derived from a structure optimized by DFT (GGA-PBE), using copper Kα.
Kinematic intensities with the Lorentz-polarization factor, no thermal factor.

The 10 most intense peaks (2θ = 15–90°), sorted by position:
- 20.36°, I = 32
- 24.18°, I = 40
- 29.37°, I = 100
- 32.67°, I = 33
- 33.01°, I = 30
- 34.07°, I = 40
- 36.03°, I = 31
- 40.65°, I = 27
- 43.18°, I = 26
- 45.34°, I = 25

Structural model:
a b c (Å): 7.4194 7.4194 9.7221
angles (deg): 99.78 99.78 107.94
Positions (direct):
Ce: 0.0000 0.0000 0.0000
Se: 0.0816 0.0816 0.4218
Se: 0.9184 0.9184 0.5782
Br: 0.0814 0.7598 0.1795
Br: 0.2402 0.9186 0.8205
Br: 0.3045 0.3045 0.1927
Br: 0.3256 0.3256 0.6063
Br: 0.6744 0.6744 0.3937
Br: 0.6955 0.6955 0.8073
Br: 0.7598 0.0814 0.1795
Br: 0.9186 0.2402 0.8205

---

The following is a simulated powder X-ray diffraction pattern of SrCe2Br11. It was derived from a structure optimized by DFT (GGA-PBE), using copper Kα.
Kinematic intensities with the Lorentz-polarization factor, no thermal factor.

The 10 most intense peaks (2θ = 15–90°), sorted by position:
- 15.87°, I = 100
- 17.68°, I = 45
- 18.25°, I = 46
- 28.02°, I = 40
- 32.05°, I = 35
- 32.30°, I = 47
- 32.83°, I = 50
- 33.40°, I = 48
- 34.82°, I = 45
- 35.75°, I = 51

Structural model:
a b c (Å): 11.4841 11.4841 11.4841
angles (deg): 122.13 106.23 100.87
Positions (direct):
Sr: 0.2500 0.2500 0.0000
Sr: 0.7500 0.7500 0.0000
Ce: 0.1930 0.6565 0.8496
Ce: 0.3070 0.1565 0.4635
Ce: 0.6930 0.8435 0.5365
Ce: 0.8070 0.3435 0.1504
Br: 0.0000 0.5000 0.5000
Br: 0.0369 0.9693 0.2846
Br: 0.0486 0.3587 0.1432
Br: 0.1847 0.4693 0.9324
Br: 0.1965 0.3890 0.5855
Br: 0.2155 0.9054 0.8568
Br: 0.2845 0.1413 0.6899
Br: 0.3035 0.8890 0.1926
Br: 0.3153 0.2477 0.2846
Br: 0.4514 0.5946 0.3101
Br: 0.4631 0.7477 0.9324
Br: 0.5000 0.0000 0.5000
Br: 0.5369 0.2523 0.0676
Br: 0.5486 0.4054 0.6899
Br: 0.6847 0.7523 0.7154
Br: 0.6965 0.1110 0.8074
Br: 0.7155 0.8587 0.3101
Br: 0.7845 0.0946 0.1432
Br: 0.8035 0.6110 0.4145
Br: 0.8153 0.5307 0.0676
Br: 0.9514 0.6413 0.8568
Br: 0.9631 0.0307 0.7154

---

The following is a simulated powder X-ray diffraction pattern of SrCeTlBr6. It was derived from a structure optimized by DFT (GGA-PBE), using copper Kα.
Kinematic intensities with the Lorentz-polarization factor, no thermal factor.

The 10 most intense peaks (2θ = 15–90°), sorted by position:
- 18.14°, I = 100
- 26.02°, I = 71
- 29.21°, I = 29
- 34.20°, I = 91
- 37.32°, I = 37
- 39.87°, I = 50
- 50.19°, I = 18
- 53.52°, I = 23
- 67.30°, I = 20
- 68.77°, I = 20

Structural model:
a b c (Å): 7.8320 7.8320 14.1201
angles (deg): 90.00 90.00 120.00
Positions (direct):
Sr: 0.3333 0.6667 0.2500
Sr: 0.6667 0.3333 0.7500
Ce: 0.3333 0.6667 0.7500
Ce: 0.6667 0.3333 0.2500
Tl: 0.0000 0.0000 0.0000
Tl: 0.0000 0.0000 0.5000
Br: 0.0136 0.3705 0.6324
Br: 0.0136 0.6431 0.8676
Br: 0.3569 0.3705 0.8676
Br: 0.3569 0.9864 0.6324
Br: 0.3705 0.0136 0.1324
Br: 0.3705 0.3569 0.3676
Br: 0.6295 0.6431 0.6324
Br: 0.6295 0.9864 0.8676
Br: 0.6431 0.0136 0.3676
Br: 0.6431 0.6295 0.1324
Br: 0.9864 0.3569 0.1324
Br: 0.9864 0.6295 0.3676

---

The following is a simulated powder X-ray diffraction pattern of Ce3TcBr3. It was derived from a structure optimized by DFT (GGA-PBE), using copper Kα.
Kinematic intensities with the Lorentz-polarization factor, no thermal factor.

The 10 most intense peaks (2θ = 15–90°), sorted by position:
- 29.35°, I = 100
- 30.36°, I = 41
- 40.11°, I = 17
- 41.93°, I = 29
- 43.53°, I = 30
- 43.80°, I = 17
- 49.73°, I = 10
- 52.50°, I = 7
- 54.23°, I = 16
- 60.89°, I = 10

Structural model:
a b c (Å): 9.0044 4.1335 11.7922
angles (deg): 90.00 93.02 90.00
Positions (direct):
Ce: 0.1022 0.2500 0.3876
Ce: 0.1246 0.2500 0.8444
Ce: 0.3334 0.7500 0.6301
Ce: 0.6666 0.2500 0.3699
Ce: 0.8754 0.7500 0.1556
Ce: 0.8978 0.7500 0.6124
Tc: 0.1198 0.2500 0.6395
Tc: 0.8802 0.7500 0.3605
Br: 0.1233 0.2500 0.1175
Br: 0.3689 0.7500 0.8838
Br: 0.3861 0.7500 0.3709
Br: 0.6139 0.2500 0.6291
Br: 0.6311 0.2500 0.1162
Br: 0.8767 0.7500 0.8825